# DyTiFe11C
Simulated powder XRD pattern, Cu Ka. Input: DFT lattice parameters and positions (PBE).

a b c (Å): 4.8540 8.5710 8.4997
angles (deg): 90.00 90.00 90.00
Space group Imm2 (No. 44)
Asymmetric unit:
Dy: 0.0000 0.0000 0.0000 [2 per cell]
Ti: 0.0000 0.0000 0.3739 [2 per cell]
Fe: 0.0000 0.0000 0.6507 [2 per cell]
Fe: 0.0000 0.2800 0.5096 [4 per cell]
Fe: 0.0000 0.3587 0.0074 [4 per cell]
Fe: 0.0000 0.5000 0.2827 [2 per cell]
Fe: 0.0000 0.5000 0.7300 [2 per cell]
Fe: 0.2495 0.2484 0.7567 [8 per cell]
C: 0.0000 0.5000 0.5058 [2 per cell]

Largest 10 diffraction maxima, in order of falling intensity, 2θ from 10° to 90°:
2theta, I_rel
42.87, 100
42.54, 100
42.43, 69
29.78, 46
42.17, 38
36.49, 29
48.11, 29
36.73, 27
70.49, 26
37.04, 24